No. 1
Ag4AuBr5: theoretical powder X-ray diffraction pattern (Cu Ka), based on a GGA-PBE-relaxed structure.
Intensities are scaled so that the largest is 100.

Peak list (10 most intense, 15 to 90 degrees two-theta, in order of falling intensity)
2θ (°), I (rel.)
24.4, 100
40.3, 52
40.7, 50
24.7, 36
47.9, 35
73.6, 17
58.6, 16
47.7, 16
48.2, 13
64.2, 13

Cell and atoms:
```
Ag4AuBr5
1.0
2.2361 1.2910 18.0309
-2.2361 1.2910 18.0309
0.0000 -2.5821 18.0309
Ag Au Br
4 1 5
direct
0.0000 0.0000 0.0000
0.1993 0.1993 0.1993
0.4002 0.4002 0.4002
0.5997 0.5997 0.5997
0.7982 0.7982 0.7982
0.0508 0.0508 0.0508
0.2500 0.2500 0.2500
0.4512 0.4512 0.4512
0.6504 0.6504 0.6504
0.8495 0.8495 0.8495
```


No. 2
Ag5AuBr12: theoretical powder X-ray diffraction pattern (Cu Ka), based on a GGA-PBE-relaxed structure.
Intensities are scaled so that the largest is 100.

Peak list (10 most intense, 15 to 90 degrees two-theta, in order of falling intensity)
2θ (°), I (rel.)
25.3, 100
28.8, 76
38.2, 70
43.3, 65
28.0, 65
25.8, 59
40.4, 57
31.5, 52
31.3, 39
46.3, 38

Cell and atoms:
```
Ag5AuBr12
1.0
6.5627 0.0000 0.0000
3.2567 6.5789 0.0000
0.7029 0.2966 12.8279
Ag Au Br
5 1 12
direct
0.0000 0.0000 0.0000
0.3350 0.3329 0.0060
0.3466 0.3367 0.5044
0.6534 0.6633 0.4956
0.6650 0.6671 0.9940
0.0000 0.0000 0.5000
0.0044 0.4025 0.8777
0.0480 0.2327 0.6231
0.2722 0.0650 0.3797
0.3314 0.7415 0.8686
0.3421 0.9174 0.1185
0.4006 0.5775 0.6371
0.5994 0.4225 0.3629
0.6579 0.0826 0.8815
0.6686 0.2585 0.1314
0.7278 0.9350 0.6203
0.9520 0.7673 0.3769
0.9956 0.5975 0.1223
```